1.
La2TbPrEr4: calculated XRD peak list (Cu Kα), based on a crystal structure in Alexandria, relaxed with PBE.
Kinematic intensities with the Lorentz-polarization factor, no thermal factor.

Unit cell a=7.270 b=9.978 c=7.273 alpha=90.00 beta=90.09 gamma=90.00
Element x y z (fractional)
La: 0.000 0.000 0.000
La: 0.000 0.500 0.500
La: 0.499 0.000 0.501
La: 0.999 0.000 0.500
Tb: 0.499 0.500 0.000
Tb: 0.500 0.500 0.500
Pr: 0.500 0.000 0.000
Pr: 0.999 0.500 0.000
Er: 0.253 0.253 0.250
Er: 0.253 0.254 0.751
Er: 0.253 0.746 0.751
Er: 0.253 0.747 0.250
Er: 0.746 0.253 0.249
Er: 0.746 0.254 0.751
Er: 0.746 0.746 0.751
Er: 0.746 0.747 0.249

Main lines, low angle first (5° ≤ 2θ ≤ 70°):
two_theta	I (rel.)
30.42	100.0
34.90	34.8
36.00	16.0
51.01	23.7
59.83	29.4
61.29	13.6

---

2.
BaSc4P: calculated XRD peak list (Cu Kα), based on a crystal structure in Alexandria, relaxed with PBE.
Kinematic intensities with the Lorentz-polarization factor, no thermal factor.

Unit cell a=6.169 b=6.169 c=6.169 alpha=60.00 beta=60.00 gamma=60.00
Element x y z (fractional)
Ba: 0.000 0.000 0.000
Sc: 0.375 0.375 0.375
Sc: 0.375 0.375 0.875
Sc: 0.375 0.875 0.375
Sc: 0.875 0.375 0.375
P: 0.750 0.750 0.750

Main lines, low angle first (5° ≤ 2θ ≤ 70°):
two_theta	I (rel.)
17.61	19.3
28.95	43.7
34.08	100.0
35.65	26.5
54.66	32.3
59.98	22.1

---

3.
K2TiMo: calculated XRD peak list (Cu Kα), based on a crystal structure in Alexandria, relaxed with PBE.
Kinematic intensities with the Lorentz-polarization factor, no thermal factor.

Unit cell a=12.700 b=12.700 c=4.494 alpha=90.00 beta=90.00 gamma=90.00
Element x y z (fractional)
K: 0.092 0.750 0.125
K: 0.250 0.092 0.875
K: 0.250 0.408 0.375
K: 0.408 0.750 0.625
K: 0.592 0.250 0.625
K: 0.750 0.592 0.375
K: 0.750 0.908 0.875
K: 0.908 0.250 0.125
Ti: 0.000 0.000 0.500
Ti: 0.000 0.500 0.750
Ti: 0.500 0.000 0.250
Ti: 0.500 0.500 0.000
Mo: 0.000 0.000 0.000
Mo: 0.000 0.500 0.250
Mo: 0.500 0.000 0.750
Mo: 0.500 0.500 0.500

Main lines, low angle first (5° ≤ 2θ ≤ 70°):
two_theta	I (rel.)
13.95	100.0
19.77	38.2
20.97	25.6
28.11	31.9
31.50	66.8
46.30	25.9

---

4.
La2Pr9Dy3: calculated XRD peak list (Cu Kα), based on a crystal structure in Alexandria, relaxed with PBE.
Kinematic intensities with the Lorentz-polarization factor, no thermal factor.

Unit cell a=9.278 b=9.278 c=13.811 alpha=90.00 beta=90.00 gamma=120.00
Element x y z (fractional)
La: 0.333 0.667 0.137
La: 0.333 0.667 0.363
La: 0.667 0.333 0.637
La: 0.667 0.333 0.863
Pr: 0.081 0.485 0.750
Pr: 0.127 0.727 0.538
Pr: 0.127 0.727 0.962
Pr: 0.273 0.400 0.538
Pr: 0.273 0.400 0.962
Pr: 0.400 0.127 0.038
Pr: 0.400 0.127 0.462
Pr: 0.404 0.919 0.750
Pr: 0.485 0.404 0.250
Pr: 0.515 0.596 0.750
Pr: 0.596 0.081 0.250
Pr: 0.600 0.873 0.538
Pr: 0.600 0.873 0.962
Pr: 0.727 0.600 0.038
Pr: 0.727 0.600 0.462
Pr: 0.873 0.273 0.038
Pr: 0.873 0.273 0.462
Pr: 0.919 0.515 0.250
Dy: 0.079 0.247 0.250
Dy: 0.168 0.921 0.250
Dy: 0.247 0.168 0.750
Dy: 0.753 0.832 0.250
Dy: 0.832 0.079 0.750
Dy: 0.921 0.753 0.750

Main lines, low angle first (5° ≤ 2θ ≤ 70°):
two_theta	I (rel.)
25.80	28.0
29.49	50.2
30.13	79.9
32.20	100.0
35.41	24.6
52.16	30.0

---

5.
Cs3Sr2I6: calculated XRD peak list (Cu Kα), based on a crystal structure in Alexandria, relaxed with PBE.
Kinematic intensities with the Lorentz-polarization factor, no thermal factor.

Unit cell a=15.313 b=15.313 c=15.313 alpha=155.44 beta=155.44 gamma=35.00
Element x y z (fractional)
Cs: 0.000 0.000 0.000
Cs: 0.177 0.177 0.000
Cs: 0.823 0.823 0.000
Sr: 0.418 0.418 0.000
Sr: 0.582 0.582 0.000
I: 0.084 0.584 0.500
I: 0.306 0.306 0.000
I: 0.416 0.916 0.500
I: 0.584 0.084 0.500
I: 0.694 0.694 0.000
I: 0.916 0.416 0.500

Main lines, low angle first (5° ≤ 2θ ≤ 70°):
two_theta	I (rel.)
20.22	33.9
26.65	84.3
27.39	100.0
36.97	32.5
39.12	38.1
47.96	35.1

---

6.
CsLuTa6Br18: calculated XRD peak list (Cu Kα), based on a crystal structure in Alexandria, relaxed with PBE.
Kinematic intensities with the Lorentz-polarization factor, no thermal factor.

Unit cell a=9.914 b=9.914 c=18.400 alpha=90.00 beta=90.00 gamma=120.00
Element x y z (fractional)
Cs: 0.333 0.667 0.250
Cs: 0.667 0.333 0.750
Lu: 0.333 0.667 0.750
Lu: 0.667 0.333 0.250
Ta: 0.040 0.186 0.564
Ta: 0.040 0.854 0.936
Ta: 0.146 0.186 0.936
Ta: 0.146 0.960 0.564
Ta: 0.186 0.040 0.064
Ta: 0.186 0.146 0.436
Ta: 0.814 0.854 0.564
Ta: 0.814 0.960 0.936
Ta: 0.854 0.040 0.436
Ta: 0.854 0.814 0.064
Ta: 0.960 0.146 0.064
Ta: 0.960 0.814 0.436
Br: 0.049 0.232 0.340
Br: 0.049 0.817 0.160
Br: 0.092 0.449 0.663
Br: 0.092 0.643 0.837
Br: 0.134 0.414 0.001
Br: 0.134 0.720 0.499
Br: 0.183 0.232 0.160
Br: 0.183 0.951 0.340
Br: 0.232 0.049 0.840
Br: 0.232 0.183 0.660
Br: 0.280 0.414 0.499
Br: 0.280 0.866 0.001
Br: 0.357 0.449 0.837
Br: 0.357 0.908 0.663
Br: 0.414 0.134 0.501
Br: 0.414 0.280 0.999
Br: 0.449 0.092 0.163
Br: 0.449 0.357 0.337
Br: 0.551 0.643 0.663
Br: 0.551 0.908 0.837
Br: 0.586 0.720 0.001
Br: 0.586 0.866 0.499
Br: 0.643 0.092 0.337
Br: 0.643 0.551 0.163
Br: 0.720 0.134 0.999
Br: 0.720 0.586 0.501
Br: 0.768 0.817 0.340
Br: 0.768 0.951 0.160
Br: 0.817 0.049 0.660
Br: 0.817 0.768 0.840
Br: 0.866 0.280 0.501
Br: 0.866 0.586 0.999
Br: 0.908 0.357 0.163
Br: 0.908 0.551 0.337
Br: 0.951 0.183 0.840
Br: 0.951 0.768 0.660

Main lines, low angle first (5° ≤ 2θ ≤ 70°):
two_theta	I (rel.)
9.61	25.1
10.30	100.0
14.11	75.2
31.18	33.4
33.80	57.6
48.56	24.8

---

7.
Ba2Sr6PdAu: calculated XRD peak list (Cu Kα), based on a crystal structure in Alexandria, relaxed with PBE.
Kinematic intensities with the Lorentz-polarization factor, no thermal factor.

Unit cell a=8.773 b=8.773 c=8.768 alpha=119.86 beta=119.86 gamma=90.15
Element x y z (fractional)
Ba: 0.250 0.750 0.000
Ba: 0.750 0.250 0.000
Sr: 0.246 0.246 0.500
Sr: 0.246 0.246 0.993
Sr: 0.246 0.753 0.500
Sr: 0.753 0.246 0.500
Sr: 0.753 0.753 0.007
Sr: 0.753 0.753 0.500
Pd: 0.000 0.000 0.500
Au: 0.500 0.500 0.500

Main lines, low angle first (5° ≤ 2θ ≤ 70°):
two_theta	I (rel.)
20.23	89.6
24.84	57.1
28.73	100.0
28.82	49.6
41.11	94.3
50.96	40.1

---

8.
La12Pr6Zr: calculated XRD peak list (Cu Kα), based on a crystal structure in Alexandria, relaxed with PBE.
Kinematic intensities with the Lorentz-polarization factor, no thermal factor.

Unit cell a=9.757 b=9.757 c=9.757 alpha=110.84 beta=110.84 gamma=110.84
Element x y z (fractional)
La: 0.058 0.373 0.584
La: 0.101 0.744 0.151
La: 0.151 0.101 0.744
La: 0.256 0.849 0.899
La: 0.373 0.584 0.058
La: 0.416 0.942 0.627
La: 0.584 0.058 0.373
La: 0.627 0.416 0.942
La: 0.744 0.151 0.101
La: 0.849 0.899 0.256
La: 0.899 0.256 0.849
La: 0.942 0.627 0.416
Pr: 0.204 0.461 0.307
Pr: 0.307 0.204 0.461
Pr: 0.461 0.307 0.204
Pr: 0.539 0.693 0.796
Pr: 0.693 0.796 0.539
Pr: 0.796 0.539 0.693
Zr: 0.000 0.000 0.000

Main lines, low angle first (5° ≤ 2θ ≤ 70°):
two_theta	I (rel.)
29.52	33.6
29.67	100.0
34.35	67.4
49.27	23.9
49.45	23.9
58.68	41.9